For AlRh, a cell relaxed with PBE gives the simulated XRD peak list in this record (Cu Kα).

Top 6 peaks for 2θ from 10° to 80°, low angle first:
Position (°2θ), intensity
29.71, 47.3
42.52, 100.0
52.73, 12.4
61.70, 16.2
69.96, 15.5
77.81, 32.7

Cell and atoms:
Cell: 3.007 3.007 3.007 Å, 90.00 90.00 90.00°
Positions (direct):
Al1 0.000 0.000 0.000
Rh1 0.500 0.500 0.500